# 1
Calculated PXRD pattern of CrSe for Cu Kα X-rays, from a PBE-relaxed structure.

Crystal structure
Lattice parameters (Å, degrees): 3.777 3.777 6.136 90.00 90.00 120.00
Atoms (fractional coordinates):
Cr 0.000 0.000 0.000
Cr 0.000 0.000 0.500
Se 0.333 0.667 0.250
Se 0.667 0.333 0.750

Most intense lines, 2θ = 10–90°, in order of falling intensity:
| 2theta | Rel. int. |
| --- | --- |
| 30.98 | 100 |
| 40.31 | 88 |
| 48.19 | 52 |
| 52.79 | 22 |
| 80.70 | 21 |
| 64.58 | 20 |
| 84.50 | 18 |
| 58.40 | 16 |
| 79.01 | 13 |
| 60.34 | 9 |



# 2
Calculated PXRD pattern of Sm2Sc3Si4 for Cu Kα X-rays, from a PBE-relaxed structure.

Crystal structure
Lattice parameters (Å, degrees): 7.160 14.141 7.462 90.00 90.00 90.00
Atoms (fractional coordinates):
Sm 0.011 0.097 0.173
Sm 0.011 0.403 0.173
Sm 0.489 0.597 0.673
Sm 0.489 0.903 0.673
Sm 0.511 0.097 0.327
Sm 0.511 0.403 0.327
Sm 0.989 0.597 0.827
Sm 0.989 0.903 0.827
Sc 0.161 0.750 0.501
Sc 0.171 0.125 0.676
Sc 0.171 0.375 0.676
Sc 0.329 0.625 0.176
Sc 0.329 0.875 0.176
Sc 0.339 0.250 0.001
Sc 0.661 0.750 0.999
Sc 0.671 0.125 0.824
Sc 0.671 0.375 0.824
Sc 0.829 0.625 0.324
Sc 0.829 0.875 0.324
Sc 0.839 0.250 0.499
Si 0.033 0.750 0.123
Si 0.154 0.539 0.463
Si 0.154 0.961 0.463
Si 0.213 0.250 0.380
Si 0.287 0.750 0.880
Si 0.346 0.039 0.963
Si 0.346 0.461 0.963
Si 0.467 0.250 0.623
Si 0.533 0.750 0.377
Si 0.654 0.539 0.037
Si 0.654 0.961 0.037
Si 0.713 0.250 0.120
Si 0.787 0.750 0.620
Si 0.846 0.039 0.537
Si 0.846 0.461 0.537
Si 0.967 0.250 0.877

Most intense lines, 2θ = 10–90°, in order of falling intensity:
| 2theta | Rel. int. |
| --- | --- |
| 33.65 | 100 |
| 33.08 | 94 |
| 22.31 | 48 |
| 38.31 | 34 |
| 13.42 | 33 |
| 28.36 | 32 |
| 34.96 | 29 |
| 27.69 | 28 |
| 39.65 | 28 |
| 53.15 | 23 |



# 3
Calculated PXRD pattern of ZrS2O13 for Cu Kα X-rays, from a PBE-relaxed structure.

Crystal structure
Lattice parameters (Å, degrees): 6.780 8.084 11.799 98.55 101.09 106.49
Atoms (fractional coordinates):
Zr 0.064 0.238 0.187
Zr 0.936 0.762 0.813
S 0.069 0.244 0.430
S 0.257 0.203 0.937
S 0.743 0.797 0.063
S 0.931 0.756 0.570
O 0.047 0.091 0.331
O 0.118 0.398 0.365
O 0.120 0.009 0.915
O 0.129 0.779 0.534
O 0.149 0.657 0.847
O 0.165 0.288 0.850
O 0.245 0.281 0.060
O 0.248 0.275 0.530
O 0.326 0.652 0.237
O 0.354 0.766 0.323
O 0.475 0.211 0.937
O 0.483 0.264 0.292
O 0.496 0.117 0.256
O 0.504 0.883 0.744
O 0.517 0.736 0.708
O 0.525 0.789 0.063
O 0.646 0.234 0.677
O 0.674 0.348 0.763
O 0.752 0.725 0.470
O 0.755 0.719 0.940
O 0.835 0.712 0.150
O 0.851 0.343 0.153
O 0.871 0.221 0.466
O 0.880 0.991 0.085
O 0.882 0.602 0.635
O 0.953 0.909 0.669

Most intense lines, 2θ = 10–90°, in order of falling intensity:
| 2theta | Rel. int. |
| --- | --- |
| 23.52 | 100 |
| 12.59 | 87 |
| 17.48 | 77 |
| 14.06 | 68 |
| 24.34 | 45 |
| 15.13 | 45 |
| 33.70 | 29 |
| 31.29 | 25 |
| 15.43 | 25 |
| 24.54 | 23 |



# 4
Calculated PXRD pattern of MgSi for Cu Kα X-rays, from a PBE-relaxed structure.

Crystal structure
Lattice parameters (Å, degrees): 5.439 4.310 9.505 90.00 90.75 90.00
Atoms (fractional coordinates):
Mg 0.090 0.250 0.263
Mg 0.158 0.250 0.932
Mg 0.394 0.250 0.621
Mg 0.606 0.750 0.379
Mg 0.842 0.750 0.068
Mg 0.910 0.750 0.737
Si 0.111 0.750 0.458
Si 0.339 0.750 0.097
Si 0.426 0.750 0.836
Si 0.574 0.250 0.164
Si 0.661 0.250 0.903
Si 0.889 0.250 0.542

Most intense lines, 2θ = 10–90°, in order of falling intensity:
| 2theta | Rel. int. |
| --- | --- |
| 35.16 | 100 |
| 40.46 | 83 |
| 41.92 | 59 |
| 43.53 | 31 |
| 38.81 | 30 |
| 37.90 | 27 |
| 40.25 | 22 |
| 32.65 | 22 |
| 60.64 | 17 |
| 34.42 | 16 |



# 5
Calculated PXRD pattern of Al8Mo3 for Cu Kα X-rays, from a PBE-relaxed structure.

Crystal structure
Lattice parameters (Å, degrees): 4.965 4.965 10.086 99.98 99.98 43.19
Atoms (fractional coordinates):
Al 0.040 0.040 0.321
Al 0.132 0.132 0.958
Al 0.228 0.228 0.590
Al 0.313 0.313 0.222
Al 0.687 0.687 0.778
Al 0.772 0.772 0.410
Al 0.868 0.868 0.042
Al 0.960 0.960 0.679
Mo 0.405 0.405 0.841
Mo 0.500 0.500 0.500
Mo 0.595 0.595 0.159

Most intense lines, 2θ = 10–90°, in order of falling intensity:
| 2theta | Rel. int. |
| --- | --- |
| 39.39 | 100 |
| 40.35 | 99 |
| 26.29 | 42 |
| 42.52 | 42 |
| 27.00 | 29 |
| 46.46 | 28 |
| 49.91 | 27 |
| 23.04 | 23 |
| 36.64 | 22 |
| 24.00 | 21 |